CdF2: computed X-ray diffraction stick pattern (Cu Kα, 1.54184 Å), based on a DFT-relaxed cell (GGA-PBE, OQMD).

Top 10 peaks for 10° ≤ 2θ ≤ 80°, by angle:
2theta	intensity
25.54	45
28.72	18
31.51	100
38.80	27
48.91	46
50.88	36
57.77	26
61.08	15
73.25	13
74.55	11

```
CdF2
1.0
3.590 0.000 0.000
-1.795 3.109 0.000
0.000 0.000 6.976
Cd F
2 4
Direct
0.333 0.667 0.000
0.667 0.333 0.500
0.000 0.000 0.377
0.000 0.000 0.877
0.333 0.667 0.639
0.667 0.333 0.139
```



CdF2: computed X-ray diffraction stick pattern (Cu Kα, 1.54184 Å), based on a DFT-relaxed cell (GGA-PBE, OQMD).

Top 7 peaks for 10° ≤ 2θ ≤ 80°, by angle:
2theta	intensity
28.88	100
33.47	22
48.06	62
57.04	42
59.83	6
70.32	9
77.74	16

```
CdF2
1.0
5.355 0.000 0.000
0.000 5.355 0.000
0.000 0.000 5.355
Cd F
4 8
Direct
0.000 0.000 0.000
0.000 0.500 0.500
0.500 0.000 0.500
0.500 0.500 0.000
0.250 0.250 0.250
0.250 0.250 0.750
0.250 0.750 0.250
0.250 0.750 0.750
0.750 0.250 0.250
0.750 0.250 0.750
0.750 0.750 0.250
0.750 0.750 0.750
```



CdGaF5: computed X-ray diffraction stick pattern (Cu Kα, 1.54184 Å), based on a DFT-relaxed cell (GGA-PBE, OQMD).

Top 10 peaks for 10° ≤ 2θ ≤ 80°, by angle:
2theta	intensity
23.17	84
27.98	100
29.31	35
35.99	23
37.27	25
37.69	33
47.36	16
48.67	20
51.16	15
56.67	15

```
CdGaF5
1.0
4.206 -3.047 0.000
4.206 3.047 0.000
-3.059 0.000 6.836
Cd Ga F
2 2 10
Direct
0.032 0.968 0.750
0.968 0.032 0.250
0.500 0.500 0.000
0.500 0.500 0.500
0.131 0.721 0.003
0.172 0.380 0.374
0.279 0.869 0.497
0.380 0.172 0.874
0.426 0.574 0.750
0.574 0.426 0.250
0.620 0.828 0.126
0.721 0.131 0.503
0.828 0.620 0.626
0.869 0.279 0.997
```



CdH5N2F3: computed X-ray diffraction stick pattern (Cu Kα, 1.54184 Å), based on a DFT-relaxed cell (GGA-PBE, OQMD).

Top 10 peaks for 10° ≤ 2θ ≤ 80°, by angle:
2theta	intensity
12.78	100
15.15	26
24.37	87
27.62	49
29.27	28
30.56	25
40.74	24
41.55	16
42.53	13
43.44	15

```
CdH5N2F3
1.0
13.850 0.000 0.000
0.000 4.429 0.000
0.000 0.000 6.454
Cd H N F
4 20 8 12
Direct
0.031 0.250 0.199
0.469 0.750 0.699
0.531 0.250 0.301
0.969 0.750 0.801
0.128 0.556 0.588
0.128 0.944 0.588
0.186 0.555 0.926
0.186 0.945 0.926
0.240 0.250 0.263
0.260 0.750 0.763
0.314 0.055 0.426
0.314 0.445 0.426
0.372 0.056 0.088
0.372 0.444 0.088
0.628 0.556 0.912
0.628 0.944 0.912
0.686 0.555 0.574
0.686 0.945 0.574
0.740 0.250 0.237
0.760 0.750 0.737
0.814 0.055 0.074
0.814 0.445 0.074
0.872 0.056 0.412
0.872 0.444 0.412
0.119 0.750 0.678
0.193 0.750 0.833
0.307 0.250 0.333
0.381 0.250 0.178
0.619 0.750 0.822
0.693 0.750 0.667
0.807 0.250 0.167
0.881 0.250 0.322
0.037 0.750 0.136
0.129 0.250 0.466
0.174 0.250 0.038
0.326 0.750 0.538
0.371 0.750 0.966
0.463 0.250 0.636
0.537 0.750 0.364
0.629 0.250 0.034
0.674 0.250 0.462
0.826 0.750 0.962
0.871 0.750 0.534
0.963 0.250 0.864
```



ZrCd2H12O6F8: computed X-ray diffraction stick pattern (Cu Kα, 1.54184 Å), based on a DFT-relaxed cell (GGA-PBE, OQMD).

Top 10 peaks for 10° ≤ 2θ ≤ 80°, by angle:
2theta	intensity
13.90	19
15.56	100
23.13	16
23.52	33
24.51	19
26.27	47
31.42	20
32.47	25
42.57	17
55.11	16

```
ZrCd2H12O6F8
1.0
5.625 -4.010 0.000
5.625 4.010 0.000
-4.432 0.000 11.388
Zr Cd H O F
2 4 24 12 16
Direct
0.241 0.759 0.750
0.759 0.241 0.250
0.048 0.298 0.711
0.298 0.048 0.211
0.702 0.952 0.789
0.952 0.702 0.289
0.087 0.424 0.093
0.104 0.157 0.477
0.135 0.637 0.105
0.157 0.104 0.977
0.201 0.355 0.547
0.281 0.642 0.476
0.355 0.201 0.047
0.358 0.719 0.024
0.363 0.865 0.395
0.370 0.536 0.359
0.424 0.087 0.593
0.464 0.630 0.141
0.536 0.370 0.859
0.576 0.913 0.407
0.630 0.464 0.641
0.637 0.135 0.605
0.642 0.281 0.976
0.645 0.799 0.953
0.719 0.358 0.524
0.799 0.645 0.453
0.843 0.896 0.023
0.865 0.363 0.895
0.896 0.843 0.523
0.913 0.576 0.907
0.030 0.579 0.118
0.184 0.222 0.554
0.222 0.184 0.054
0.291 0.671 0.403
0.329 0.709 0.097
0.421 0.970 0.382
0.579 0.030 0.618
0.671 0.291 0.903
0.709 0.329 0.597
0.778 0.816 0.946
0.816 0.778 0.446
0.970 0.421 0.882
0.028 0.955 0.637
0.041 0.338 0.294
0.045 0.972 0.863
0.237 0.578 0.574
0.331 0.451 0.774
0.338 0.041 0.794
0.422 0.763 0.926
0.451 0.331 0.274
0.549 0.669 0.726
0.578 0.237 0.074
0.662 0.959 0.206
0.669 0.549 0.226
0.763 0.422 0.426
0.955 0.028 0.137
0.959 0.662 0.706
0.972 0.045 0.363
```



HfCdNOF: computed X-ray diffraction stick pattern (Cu Kα, 1.54184 Å), based on a DFT-relaxed cell (GGA-PBE, OQMD).

Top 10 peaks for 10° ≤ 2θ ≤ 80°, by angle:
2theta	intensity
29.28	100
31.33	49
31.48	49
33.27	29
36.13	43
49.25	17
49.82	30
50.03	29
57.02	17
59.58	31

```
HfCdNOF
1.0
3.357 0.000 0.000
0.000 3.701 0.000
-0.028 0.000 5.385
Hf Cd N O F
1 1 1 1 1
Direct
0.000 0.000 0.000
0.497 0.500 0.533
0.498 0.000 0.769
0.001 0.500 0.149
0.503 0.000 0.271
```



HfCdNOF: computed X-ray diffraction stick pattern (Cu Kα, 1.54184 Å), based on a DFT-relaxed cell (GGA-PBE, OQMD).

Top 10 peaks for 10° ≤ 2θ ≤ 80°, by angle:
2theta	intensity
21.16	39
30.13	48
30.66	100
37.56	17
43.21	18
48.48	20
48.82	18
53.87	21
54.81	18
68.05	19

```
HfCdNOF
1.0
4.059 0.000 0.000
0.000 4.187 0.000
0.000 0.000 4.201
Hf Cd N O F
1 1 1 1 1
Direct
0.000 0.000 0.000
0.500 0.500 0.689
0.000 0.500 0.884
0.500 0.000 0.046
0.000 0.000 0.483
```



NbCdHg2F6: computed X-ray diffraction stick pattern (Cu Kα, 1.54184 Å), based on a DFT-relaxed cell (GGA-PBE, OQMD).

Top 10 peaks for 10° ≤ 2θ ≤ 80°, by angle:
2theta	intensity
12.15	100
24.07	38
24.43	56
36.27	59
37.01	18
38.39	70
44.22	91
52.79	18
63.38	32
70.78	18

```
NbCdHg2F6
1.0
4.954 0.000 0.000
-2.477 4.290 0.000
0.000 0.000 7.287
Nb Cd Hg F
1 1 2 6
Direct
0.000 0.000 0.000
0.000 0.000 0.500
0.333 0.667 0.500
0.667 0.333 0.500
0.000 0.314 0.842
0.000 0.686 0.158
0.314 0.000 0.842
0.314 0.314 0.158
0.686 0.000 0.158
0.686 0.686 0.842
```